1.
Theoretical X-ray diffraction stick pattern
Compound: La2TaGeN5
Radiation: copper Kα
Structure: a structure optimized by DFT (GGA-PBE)
Intensities are scaled so that the largest is 100.

Structural model:
Unit cell a=7.5645 b=7.5645 c=10.4039 alpha=90.00 beta=90.00 gamma=155.02
Sites, in units of the cell vectors:
La 0.1126 0.8874 0.5000
La 0.1265 0.8735 0.1179
La 0.8735 0.1265 0.6179
La 0.8874 0.1126 0.0000
Ta 0.2176 0.7824 0.8300
Ta 0.7824 0.2176 0.3300
Ge 0.4478 0.5522 0.2628
Ge 0.5522 0.4478 0.7628
N 0.0482 0.9518 0.8583
N 0.2876 0.7124 0.4596
N 0.3190 0.6810 0.1976
N 0.3460 0.6540 0.8138
N 0.4988 0.5012 0.6025
N 0.5012 0.4988 0.1025
N 0.6540 0.3460 0.3138
N 0.6810 0.3190 0.6976
N 0.7124 0.2876 0.9596
N 0.9518 0.0482 0.3583

Principal peaks in the range 10 to 80 degrees two-theta, by intensity:
38.31°, d = 2.350 Å, I 100.0; 28.43°, d = 3.139 Å, I 88.5; 32.88°, d = 2.724 Å, I 84.0; 29.67°, d = 3.011 Å, I 75.4; 34.01°, d = 2.636 Å, I 73.1; 44.86°, d = 2.020 Å, I 56.3; 37.54°, d = 2.396 Å, I 53.3; 20.89°, d = 4.253 Å, I 37.3; 55.57°, d = 1.654 Å, I 28.4; 54.70°, d = 1.678 Å, I 26.9

2.
Theoretical X-ray diffraction stick pattern
Compound: Nd3DySn2
Radiation: copper Kα
Structure: a structure optimized by DFT (GGA-PBE)
Intensities are scaled so that the largest is 100.

Structural model:
Unit cell a=9.8787 b=9.8787 c=9.8787 alpha=141.11 beta=56.10 gamma=141.20
Sites, in units of the cell vectors:
Nd 0.1749 0.2482 0.4231
Nd 0.2500 0.2500 0.0000
Nd 0.3251 0.7482 0.0732
Nd 0.6749 0.2518 0.9268
Nd 0.7500 0.7500 0.0000
Nd 0.8251 0.7518 0.5769
Dy 0.2500 0.7500 0.5000
Dy 0.7500 0.2500 0.5000
Sn 0.1378 0.7447 0.8826
Sn 0.3622 0.2447 0.6069
Sn 0.6378 0.7553 0.3931
Sn 0.8622 0.2553 0.1174

Principal peaks in the range 10 to 80 degrees two-theta, by intensity:
29.05°, d = 3.074 Å, I 100.0; 34.18°, d = 2.623 Å, I 96.8; 38.77°, d = 2.323 Å, I 61.5; 50.28°, d = 1.815 Å, I 49.8; 30.77°, d = 2.906 Å, I 39.3; 67.25°, d = 1.392 Å, I 27.7; 36.47°, d = 2.464 Å, I 19.3; 28.07°, d = 3.179 Å, I 16.3; 70.51°, d = 1.336 Å, I 12.9; 56.36°, d = 1.632 Å, I 12.5

3.
Theoretical X-ray diffraction stick pattern
Compound: In4Ag15Hg
Radiation: copper Kα
Structure: a structure optimized by DFT (GGA-PBE)
Intensities are scaled so that the largest is 100.

Structural model:
Unit cell a=4.3101 b=4.3101 c=20.3681 alpha=90.00 beta=90.00 gamma=90.00
Sites, in units of the cell vectors:
In 0.0000 0.0000 0.0996
In 0.0000 0.0000 0.3004
In 0.0000 0.0000 0.6996
In 0.0000 0.0000 0.9004
Ag 0.0000 0.5000 0.0000
Ag 0.0000 0.5000 0.2000
Ag 0.0000 0.5000 0.3996
Ag 0.0000 0.5000 0.6004
Ag 0.0000 0.5000 0.8000
Ag 0.5000 0.0000 0.0000
Ag 0.5000 0.0000 0.2000
Ag 0.5000 0.0000 0.3996
Ag 0.5000 0.0000 0.6004
Ag 0.5000 0.0000 0.8000
Ag 0.5000 0.5000 0.0999
Ag 0.5000 0.5000 0.2995
Ag 0.5000 0.5000 0.5000
Ag 0.5000 0.5000 0.7005
Ag 0.5000 0.5000 0.9001
Hg 0.0000 0.0000 0.5000

Principal peaks in the range 10 to 80 degrees two-theta, by intensity:
36.83°, d = 2.440 Å, I 100.0; 41.92°, d = 2.155 Å, I 34.5; 73.23°, d = 1.293 Å, I 24.9; 62.77°, d = 1.480 Å, I 19.8; 44.48°, d = 2.037 Å, I 14.4; 60.78°, d = 1.524 Å, I 10.9; 76.86°, d = 1.240 Å, I 10.9; 78.37°, d = 1.220 Å, I 10.4

4.
Theoretical X-ray diffraction stick pattern
Compound: PuAuI6
Radiation: copper Kα
Structure: a structure optimized by DFT (GGA-PBE)
Intensities are scaled so that the largest is 100.

Structural model:
Unit cell a=7.4915 b=7.4915 c=8.1818 alpha=105.06 beta=105.06 gamma=115.42
Sites, in units of the cell vectors:
Pu 0.0000 0.0000 0.0000
Au 0.5000 0.5000 0.5000
I 0.1160 0.4431 0.2666
I 0.2071 0.2071 0.7865
I 0.4431 0.1160 0.2666
I 0.5569 0.8840 0.7334
I 0.7929 0.7929 0.2135
I 0.8840 0.5569 0.7334

Principal peaks in the range 10 to 80 degrees two-theta, by intensity:
30.39°, d = 2.941 Å, I 100.0; 14.50°, d = 6.110 Å, I 92.1; 25.54°, d = 3.488 Å, I 68.2; 13.98°, d = 6.333 Å, I 44.7; 40.48°, d = 2.228 Å, I 42.2; 39.73°, d = 2.269 Å, I 41.3; 22.80°, d = 3.900 Å, I 30.6; 29.20°, d = 3.059 Å, I 24.3; 50.54°, d = 1.806 Å, I 20.8; 42.84°, d = 2.111 Å, I 20.0

5.
Theoretical X-ray diffraction stick pattern
Compound: KHg12Au6
Radiation: copper Kα
Structure: a structure optimized by DFT (GGA-PBE)
Intensities are scaled so that the largest is 100.

Structural model:
Unit cell a=8.5339 b=8.5339 c=8.5339 alpha=109.47 beta=109.47 gamma=109.47
Sites, in units of the cell vectors:
K 0.0000 0.0000 0.0000
Hg 0.0306 0.7790 0.2516
Hg 0.2210 0.2516 0.4725
Hg 0.2210 0.7484 0.9694
Hg 0.2516 0.0306 0.7790
Hg 0.2516 0.4725 0.2210
Hg 0.4725 0.2210 0.2516
Hg 0.5275 0.7790 0.7484
Hg 0.7484 0.5275 0.7790
Hg 0.7484 0.9694 0.2210
Hg 0.7790 0.2516 0.0306
Hg 0.7790 0.7484 0.5275
Hg 0.9694 0.2210 0.7484
Au 0.1370 0.6370 0.5000
Au 0.3630 0.5000 0.8630
Au 0.5000 0.1370 0.6370
Au 0.5000 0.8630 0.3630
Au 0.6370 0.5000 0.1370
Au 0.8630 0.3630 0.5000

Principal peaks in the range 10 to 80 degrees two-theta, by intensity:
31.45°, d = 2.845 Å, I 100.0; 34.04°, d = 2.634 Å, I 93.1; 36.47°, d = 2.464 Å, I 80.7; 62.52°, d = 1.486 Å, I 37.3; 55.99°, d = 1.642 Å, I 33.0; 45.07°, d = 2.011 Å, I 28.5; 28.65°, d = 3.116 Å, I 27.1; 38.77°, d = 2.323 Å, I 23.3; 52.53°, d = 1.742 Å, I 22.9; 60.93°, d = 1.521 Å, I 22.3

6.
Theoretical X-ray diffraction stick pattern
Compound: LaCoIrAu2
Radiation: copper Kα
Structure: a structure optimized by DFT (GGA-PBE)
Intensities are scaled so that the largest is 100.

Structural model:
Unit cell a=5.1551 b=5.1551 c=5.1456 alpha=90.00 beta=90.00 gamma=90.00
Sites, in units of the cell vectors:
La 0.0000 0.0000 0.0000
Co 0.5000 0.5000 0.0000
Ir 0.0000 0.0000 0.5000
Au 0.0000 0.5000 0.5000
Au 0.5000 0.0000 0.5000

Principal peaks in the range 10 to 80 degrees two-theta, by intensity:
34.83°, d = 2.576 Å, I 100.0; 17.22°, d = 5.150 Å, I 84.9; 50.08°, d = 1.821 Å, I 71.9; 30.04°, d = 2.974 Å, I 52.9; 39.09°, d = 2.304 Å, I 45.8; 62.44°, d = 1.487 Å, I 24.7; 59.51°, d = 1.553 Å, I 22.8; 53.34°, d = 1.718 Å, I 21.4; 76.17°, d = 1.250 Å, I 12.3; 65.32°, d = 1.429 Å, I 10.6

- What is the formula in the first record?
  La2TaGeN5